Entry 1:
Er6Se2S3: simulated PXRD pattern (Cu Kα), based on a cell relaxed with PBE.
Intensities are scaled so that the largest is 100.

Cell lengths 3.8648, 3.8648, 58.2343 Å; angles 90.00, 90.00, 120.00 degrees
Space group R-3m (No. 166, hexagonal axes)
Inequivalent atoms, fractional coordinates:
Er  0.0000  0.0000  0.0808 (multiplicity 6)
Er  0.0000  0.0000  0.1899 (multiplicity 6)
Er  0.0000  0.0000  0.3607 (multiplicity 6)
Se  0.0000  0.0000  0.4445 (multiplicity 6)
S  0.0000  0.0000  0.0000 (multiplicity 3)
S  0.0000  0.0000  0.2791 (multiplicity 6)

Peak list (8 most intense, 10° ≤ 2θ ≤ 90°, sorted by position)
| d (Å) | two_theta | Rel. int. | hkl |
| --- | --- | --- | --- |
| 3.235 | 27.6 | 18 | 0 0 18 |
| 3.105 | 28.8 | 35 | 1 0 7 |
| 3.041 | 29.4 | 16 | 0 1 8 |
| 2.829 | 31.6 | 100 | 0 1 11 |
| 1.932 | 47.0 | 45 | 1 1 0 |
| 1.912 | 47.6 | 21 | 1 0 25 |
| 1.659 | 55.4 | 17 | 1 1 18 |
| 1.596 | 57.8 | 18 | 2 0 11 |

Entry 2:
AcLaTlBi: simulated PXRD pattern (Cu Kα), based on a cell relaxed with PBE.
Intensities are scaled so that the largest is 100.

Cell lengths 4.7617, 4.7617, 6.7917 Å; angles 90.00, 90.00, 90.00 degrees
Space group P4/mmm (No. 123)
Inequivalent atoms, fractional coordinates:
Ac  0.0000  0.0000  0.0000 (multiplicity 1)
La  0.5000  0.5000  0.5000 (multiplicity 1)
Tl  0.5000  0.5000  0.0000 (multiplicity 1)
Bi  0.0000  0.0000  0.5000 (multiplicity 1)

Peak list (8 most intense, 10° ≤ 2θ ≤ 90°, sorted by position)
| d (Å) | two_theta | Rel. int. | hkl |
| --- | --- | --- | --- |
| 3.396 | 26.2 | 51 | 0 0 2 |
| 3.367 | 26.5 | 100 | 1 1 0 |
| 2.391 | 37.6 | 81 | 1 1 2 |
| 2.381 | 37.8 | 40 | 2 0 0 |
| 1.949 | 46.6 | 44 | 2 0 2 |
| 1.516 | 61.1 | 20 | 1 1 4 |
| 1.508 | 61.5 | 20 | 2 2 2 |
| 1.377 | 68.1 | 29 | 3 1 2 |

Entry 3:
Sr2AlO3: simulated PXRD pattern (Cu Kα), based on a cell relaxed with PBE.
Intensities are scaled so that the largest is 100.

Cell lengths 3.2386, 19.2770, 5.9397 Å; angles 90.00, 90.00, 90.00 degrees
Space group Cmcm (No. 63)
Inequivalent atoms, fractional coordinates:
Sr  0.0000  0.0188  0.2500 (multiplicity 4)
Sr  0.0000  0.1952  0.2500 (multiplicity 4)
Al  0.0000  0.3656  0.2500 (multiplicity 4)
O  0.0000  0.1850  0.7500 (multiplicity 4)
O  0.0000  0.4222  0.0118 (multiplicity 8)

Peak list (8 most intense, 10° ≤ 2θ ≤ 90°, sorted by position)
| d (Å) | two_theta | Rel. int. | hkl |
| --- | --- | --- | --- |
| 2.970 | 30.1 | 63 | 0 0 2 |
| 2.826 | 31.7 | 71 | 0 6 1 |
| 2.813 | 31.8 | 62 | 1 1 1 |
| 2.480 | 36.2 | 100 | 1 5 0 |
| 2.181 | 41.4 | 39 | 0 6 2 |
| 2.175 | 41.5 | 53 | 1 1 2 |
| 1.903 | 47.8 | 53 | 1 5 2 |
| 1.684 | 54.5 | 28 | 0 6 3 |

Entry 4:
Pr4Bi2H9: simulated PXRD pattern (Cu Kα), based on a cell relaxed with PBE.
Intensities are scaled so that the largest is 100.

Cell lengths 3.8707, 3.8707, 17.5110 Å; angles 90.00, 90.00, 120.00 degrees
Space group P-3m1 (No. 164)
Inequivalent atoms, fractional coordinates:
Pr  0.3333  0.6667  0.0964 (multiplicity 2)
Pr  0.3333  0.6667  0.4098 (multiplicity 2)
Bi  0.3333  0.6667  0.7537 (multiplicity 2)
H  0.0000  0.0000  0.0866 (multiplicity 2)
H  0.0000  0.0000  0.3737 (multiplicity 2)
H  0.0000  0.0000  0.5000 (multiplicity 1)
H  0.3333  0.6667  0.5479 (multiplicity 2)
H  0.3333  0.6667  0.9594 (multiplicity 2)

Peak list (8 most intense, 10° ≤ 2θ ≤ 90°, sorted by position)
| d (Å) | two_theta | Rel. int. | hkl |
| --- | --- | --- | --- |
| 3.352 | 26.6 | 24 | 1 0 0 |
| 2.918 | 30.6 | 21 | 0 0 6 |
| 2.907 | 30.8 | 100 | 0 1 3 |
| 2.201 | 41.0 | 15 | 1 0 6 |
| 1.935 | 46.9 | 22 | 1 1 0 |
| 1.683 | 54.5 | 17 | 0 1 9 |
| 1.612 | 57.1 | 40 | 1 1 6 |
| 1.238 | 77.0 | 15 | 1 2 3 |

Entry 5:
CaNd6Dy2: simulated PXRD pattern (Cu Kα), based on a cell relaxed with PBE.
Intensities are scaled so that the largest is 100.

Cell lengths 6.0790, 6.0790, 11.7937 Å; angles 90.00, 90.00, 120.00 degrees
Space group P-31m (No. 162)
Inequivalent atoms, fractional coordinates:
Ca  0.0000  0.0000  0.0000 (multiplicity 1)
Nd  0.0000  0.3316  0.2590 (multiplicity 6)
Dy  0.3333  0.6667  0.5000 (multiplicity 2)

Peak list (8 most intense, 10° ≤ 2θ ≤ 90°, sorted by position)
| d (Å) | two_theta | Rel. int. | hkl |
| --- | --- | --- | --- |
| 5.897 | 15.0 | 26 | 0 0 2 |
| 4.807 | 18.5 | 16 | 1 0 1 |
| 2.945 | 30.4 | 100 | 0 0 4 |
| 2.702 | 33.2 | 58 | 1 1 2 |
| 2.405 | 37.4 | 45 | 2 -1 3 |
| 1.863 | 48.9 | 17 | 1 1 5 |
| 1.755 | 52.1 | 20 | 3 0 0 |
| 1.508 | 61.5 | 32 | 3 0 4 |

Entry 6:
PmErIrPb: simulated PXRD pattern (Cu Kα), based on a cell relaxed with PBE.
Intensities are scaled so that the largest is 100.

Cell lengths 3.5232, 3.5232, 8.0636 Å; angles 90.00, 90.00, 90.00 degrees
Space group P4mm (No. 99)
Inequivalent atoms, fractional coordinates:
Pm  0.0000  0.0000  0.0000 (multiplicity 1)
Er  0.0000  0.0000  0.5897 (multiplicity 1)
Ir  0.5000  0.5000  0.7799 (multiplicity 1)
Pb  0.5000  0.5000  0.3051 (multiplicity 1)

Peak list (8 most intense, 10° ≤ 2θ ≤ 90°, sorted by position)
| d (Å) | two_theta | Rel. int. | hkl |
| --- | --- | --- | --- |
| 2.653 | 33.8 | 100 | 1 0 2 |
| 2.491 | 36.1 | 49 | 1 1 0 |
| 1.762 | 51.9 | 18 | 2 0 0 |
| 1.567 | 58.9 | 13 | 1 1 4 |
| 1.467 | 63.4 | 38 | 2 1 2 |
| 1.326 | 71.1 | 7 | 2 0 4 |
| 1.127 | 86.3 | 12 | 3 0 2 |
| 1.114 | 87.6 | 8 | 3 1 0 |

Entry 7:
VGa2Se6: simulated PXRD pattern (Cu Kα), based on a cell relaxed with PBE.
Intensities are scaled so that the largest is 100.

Cell lengths 11.7910, 11.5361, 7.0329 Å; angles 90.00, 104.86, 90.00 degrees
Space group C2/c (No. 15)
Inequivalent atoms, fractional coordinates:
V  0.0000  0.0999  0.2500 (multiplicity 4)
Ga  0.1886  0.4082  0.3201 (multiplicity 8)
Se  0.0847  0.4357  0.5870 (multiplicity 8)
Se  0.1017  0.0690  0.6077 (multiplicity 8)
Se  0.1647  0.2112  0.2023 (multiplicity 8)

Peak list (8 most intense, 10° ≤ 2θ ≤ 90°, sorted by position)
| d (Å) | two_theta | Rel. int. | hkl |
| --- | --- | --- | --- |
| 5.758 | 15.4 | 100 | 0 2 0 |
| 3.319 | 26.9 | 95 | 2 0 -2 |
| 3.107 | 28.7 | 92 | 1 3 1 |
| 2.907 | 30.8 | 47 | 3 1 1 |
| 2.847 | 31.4 | 31 | 4 0 0 |
| 2.685 | 33.4 | 49 | 3 3 -1 |
| 2.303 | 39.1 | 30 | 5 1 -1 |
| 1.999 | 45.4 | 64 | 1 3 -3 |

Entry 8:
Ho3Tm2Cd3: simulated PXRD pattern (Cu Kα), based on a cell relaxed with PBE.
Intensities are scaled so that the largest is 100.

Cell lengths 3.6995, 5.3080, 21.9995 Å; angles 90.00, 90.00, 90.00 degrees
Space group Immm (No. 71)
Inequivalent atoms, fractional coordinates:
Ho  0.0000  0.0000  0.0000 (multiplicity 2)
Ho  0.0000  0.5000  0.1241 (multiplicity 4)
Tm  0.0000  0.0000  0.2340 (multiplicity 4)
Cd  0.0000  0.0000  0.5000 (multiplicity 2)
Cd  0.0000  0.5000  0.3821 (multiplicity 4)

Peak list (8 most intense, 10° ≤ 2θ ≤ 90°, sorted by position)
| d (Å) | two_theta | Rel. int. | hkl |
| --- | --- | --- | --- |
| 2.750 | 32.6 | 19 | 0 0 8 |
| 2.657 | 33.7 | 100 | 0 2 0 |
| 1.910 | 47.6 | 13 | 0 2 8 |
| 1.850 | 49.3 | 7 | 2 0 0 |
| 1.569 | 58.8 | 10 | 1 1 12 |
| 1.533 | 60.4 | 21 | 1 3 4 |
| 1.518 | 61.1 | 7 | 2 2 0 |
| 1.329 | 70.9 | 8 | 2 2 8 |

Entry 9:
Sm3ErTl3Te8: simulated PXRD pattern (Cu Kα), based on a cell relaxed with PBE.
Intensities are scaled so that the largest is 100.

Cell lengths 15.4408, 8.9052, 9.6681 Å; angles 90.00, 122.22, 90.00 degrees
Space group C2/m (No. 12)
Inequivalent atoms, fractional coordinates:
Sm  0.0000  0.0000  0.0000 (multiplicity 2)
Sm  0.2500  0.2500  0.0000 (multiplicity 4)
Er  0.0000  0.5000  0.0000 (multiplicity 2)
Tl  0.0000  0.5000  0.5000 (multiplicity 2)
Tl  0.2500  0.2500  0.5000 (multiplicity 4)
Te  0.0098  0.2543  0.7837 (multiplicity 8)
Te  0.2359  0.5000  0.2163 (multiplicity 4)
Te  0.2404  0.0000  0.2211 (multiplicity 4)

Peak list (8 most intense, 10° ≤ 2θ ≤ 90°, sorted by position)
| d (Å) | two_theta | Rel. int. | hkl |
| --- | --- | --- | --- |
| 3.266 | 27.3 | 100 | 4 0 0 |
| 2.401 | 37.5 | 39 | 2 2 2 |
| 2.227 | 40.5 | 36 | 0 4 0 |
| 1.840 | 49.5 | 20 | 4 4 0 |
| 1.633 | 56.3 | 12 | 8 0 0 |
| 1.506 | 61.6 | 16 | 6 2 2 |
| 1.419 | 65.8 | 17 | 10 2 -2 |
| 1.317 | 71.7 | 8 | 8 4 0 |

Entry 10:
ScBi2Os: simulated PXRD pattern (Cu Kα), based on a cell relaxed with PBE.
Intensities are scaled so that the largest is 100.

Cell lengths 7.0493, 7.0493, 7.0493 Å; angles 90.00, 90.00, 90.00 degrees
Space group Fm-3m (No. 225)
Inequivalent atoms, fractional coordinates:
Sc  0.0000  0.0000  0.0000 (multiplicity 4)
Bi  0.2500  0.2500  0.2500 (multiplicity 8)
Os  0.0000  0.0000  0.5000 (multiplicity 4)

Peak list (8 most intense, 10° ≤ 2θ ≤ 90°, sorted by position)
| d (Å) | two_theta | Rel. int. | hkl |
| --- | --- | --- | --- |
| 4.070 | 21.8 | 11 | 1 1 1 |
| 3.525 | 25.3 | 10 | 2 0 0 |
| 2.492 | 36.0 | 100 | 2 2 0 |
| 2.125 | 42.5 | 6 | 3 1 1 |
| 1.762 | 51.9 | 18 | 4 0 0 |
| 1.439 | 64.8 | 37 | 4 2 2 |
| 1.246 | 76.4 | 12 | 4 4 0 |
| 1.115 | 87.5 | 17 | 6 2 0 |

Entry 11:
Sm2SiPdPt6: simulated PXRD pattern (Cu Kα), based on a cell relaxed with PBE.
Intensities are scaled so that the largest is 100.

Cell lengths 5.4146, 6.4073, 6.8382 Å; angles 80.86, 66.71, 65.01 degrees
Space group P-1 (No. 2)
Inequivalent atoms, fractional coordinates:
Sm  0.0299  0.2432  0.1972 (multiplicity 2)
Si  0.5000  0.0000  0.5000 (multiplicity 1)
Pd  0.5000  0.5000  0.0000 (multiplicity 1)
Pt  0.0173  0.2122  0.7453 (multiplicity 2)
Pt  0.3424  0.4067  0.4105 (multiplicity 2)
Pt  0.4758  0.7884  0.2535 (multiplicity 2)

Peak list (8 most intense, 10° ≤ 2θ ≤ 90°, sorted by position)
| d (Å) | two_theta | Rel. int. | hkl |
| --- | --- | --- | --- |
| 4.243 | 20.9 | 34 | 0 1 1 |
| 3.140 | 28.4 | 35 | 0 0 2 |
| 3.049 | 29.3 | 31 | 1 -1 0 |
| 2.289 | 39.4 | 100 | 2 2 0 |
| 2.282 | 39.5 | 60 | 2 0 0 |
| 2.142 | 42.2 | 54 | 0 2 -2 |
| 2.101 | 43.0 | 31 | 1 -2 0 |
| 2.050 | 44.2 | 30 | 2 1 3 |

Entry 12:
Ho2Er6Mg: simulated PXRD pattern (Cu Kα), based on a cell relaxed with PBE.
Intensities are scaled so that the largest is 100.

Cell lengths 10.4043, 10.4043, 4.9742 Å; angles 90.00, 90.00, 90.00 degrees
Space group P4_2/mnm (No. 136)
Inequivalent atoms, fractional coordinates:
Ho  0.1666  0.1666  0.0000 (multiplicity 4)
Er  0.9999  0.3341  0.5000 (multiplicity 8)
Er  0.1670  0.8330  0.0000 (multiplicity 4)
Mg  0.0000  0.0000  0.5000 (multiplicity 2)

Peak list (8 most intense, 10° ≤ 2θ ≤ 90°, sorted by position)
| d (Å) | two_theta | Rel. int. | hkl |
| --- | --- | --- | --- |
| 2.845 | 31.4 | 100 | 3 0 1 |
| 2.487 | 36.1 | 17 | 0 0 2 |
| 2.452 | 36.6 | 33 | 3 3 0 |
| 1.746 | 52.4 | 24 | 3 3 2 |
| 1.496 | 62.0 | 14 | 3 0 3 |
| 1.481 | 62.8 | 28 | 6 3 1 |
| 1.422 | 65.6 | 12 | 6 0 2 |
| 1.133 | 85.8 | 12 | 6 3 3 |

Entry 13:
ScCu4Si2: simulated PXRD pattern (Cu Kα), based on a cell relaxed with PBE.
Intensities are scaled so that the largest is 100.

Cell lengths 4.0200, 4.0200, 21.2551 Å; angles 90.00, 90.00, 120.00 degrees
Space group R-3m (No. 166, hexagonal axes)
Inequivalent atoms, fractional coordinates:
Sc  0.0000  0.0000  0.0000 (multiplicity 3)
Cu  0.0000  0.0000  0.1387 (multiplicity 6)
Cu  0.0000  0.0000  0.4257 (multiplicity 6)
Si  0.0000  0.0000  0.2537 (multiplicity 6)

Peak list (8 most intense, 10° ≤ 2θ ≤ 90°, sorted by position)
| d (Å) | two_theta | Rel. int. | hkl |
| --- | --- | --- | --- |
| 7.085 | 12.5 | 42 | 0 0 3 |
| 2.693 | 33.3 | 11 | 0 1 5 |
| 2.288 | 39.4 | 100 | 1 0 7 |
| 2.010 | 45.1 | 89 | 1 1 0 |
| 1.510 | 61.4 | 25 | 0 2 7 |
| 1.392 | 67.3 | 11 | 0 1 14 |
| 1.207 | 79.4 | 22 | 2 1 7 |
| 1.160 | 83.3 | 13 | 3 0 0 |